Starting from a crystal structure in Alexandria, relaxed with PBE, the X-ray powder pattern of SiNi2Ag was computed for Cu Kα X-rays.

Cell and atoms:
Unit cell a=2.7629 b=2.7746 c=6.6477 alpha=90.00 beta=90.00 gamma=90.00
Element x y z (fractional)
Si 0.0000 0.0000 0.0000
Ni 0.5000 0.5000 0.1990
Ni 0.5000 0.5000 0.8010
Ag 0.0000 0.0000 0.5000

Principal peaks in the range 2θ = 10–80°, most intense first:
- 42.44°, I 100
- 42.55°, I 99
- 46.38°, I 93
- 35.04°, I 45
- 35.18°, I 45
- 40.72°, I 34
- 63.40°, I 34
- 13.32°, I 23